Entry 1:
For SrFeB2, a DFT-relaxed cell (PBE, OQMD) gives the theoretical powder XRD pattern in this record (Cu Kα).
No peak broadening, texture or thermal motion is included.

Cell and atoms:
Unit cell a=6.100 b=6.100 c=6.100 alpha=90.00 beta=90.00 gamma=90.00
Element x y z (fractional)
Sr 0.000 0.000 0.000
Sr 0.000 0.500 0.500
Sr 0.500 0.000 0.500
Sr 0.500 0.500 0.000
Fe 0.250 0.250 0.250
Fe 0.250 0.750 0.750
Fe 0.750 0.250 0.750
Fe 0.750 0.750 0.250
B 0.000 0.000 0.500
B 0.000 0.500 0.000
B 0.250 0.250 0.750
B 0.250 0.750 0.250
B 0.500 0.000 0.000
B 0.500 0.500 0.500
B 0.750 0.250 0.250
B 0.750 0.750 0.750

Top 10 peaks for 2θ from 10° to 90°, low angle first:
25.29 deg, I = 87.2; 29.28 deg, I = 4.2; 41.89 deg, I = 100.0; 49.56 deg, I = 42.7; 51.93 deg, I = 1.3; 60.73 deg, I = 15.6; 66.86 deg, I = 17.1; 68.83 deg, I = 1.9; 76.51 deg, I = 31.2; 82.10 deg, I = 12.8


Entry 2:
For Te3IrPbAu, a DFT-relaxed cell (PBE, OQMD) gives the theoretical powder XRD pattern in this record (Cu Kα).
No peak broadening, texture or thermal motion is included.

Cell and atoms:
Unit cell a=11.293 b=3.110 c=9.311 alpha=90.00 beta=90.00 gamma=90.00
Element x y z (fractional)
Te 0.012 0.000 0.224
Te 0.250 0.000 0.513
Te 0.488 0.000 0.224
Te 0.512 0.000 0.776
Te 0.750 0.000 0.487
Te 0.988 0.000 0.776
Ir 0.000 0.000 0.500
Ir 0.500 0.000 0.500
Pb 0.250 0.000 0.886
Pb 0.750 0.000 0.114
Au 0.250 0.000 0.195
Au 0.750 0.000 0.805

Top 10 peaks for 2θ from 10° to 90°, low angle first:
18.38 deg, I = 23.7; 28.73 deg, I = 100.0; 29.86 deg, I = 13.0; 31.69 deg, I = 49.2; 41.09 deg, I = 28.0; 41.94 deg, I = 19.7; 43.30 deg, I = 65.1; 52.80 deg, I = 25.8; 59.44 deg, I = 12.7; 73.72 deg, I = 13.8


Entry 3:
For Ho2LuFeCo8, a DFT-relaxed cell (PBE, OQMD) gives the theoretical powder XRD pattern in this record (Cu Kα).
No peak broadening, texture or thermal motion is included.

Cell and atoms:
Unit cell a=8.486 b=8.486 c=8.486 alpha=34.09 beta=34.09 gamma=34.09
Element x y z (fractional)
Ho 0.139 0.139 0.139
Ho 0.861 0.861 0.861
Lu 0.000 0.000 0.000
Fe 0.500 0.500 0.500
Co 0.079 0.583 0.583
Co 0.334 0.334 0.334
Co 0.417 0.417 0.921
Co 0.417 0.921 0.417
Co 0.583 0.079 0.583
Co 0.583 0.583 0.079
Co 0.666 0.666 0.666
Co 0.921 0.417 0.417

Top 10 peaks for 2θ from 10° to 90°, low angle first:
20.95 deg, I = 16.8; 33.44 deg, I = 55.1; 36.11 deg, I = 60.6; 36.55 deg, I = 46.3; 42.12 deg, I = 43.3; 42.84 deg, I = 100.0; 63.25 deg, I = 18.2; 65.23 deg, I = 16.2; 69.58 deg, I = 22.5; 76.62 deg, I = 22.3


Entry 4:
For TbSmNi2Sn, a DFT-relaxed cell (PBE, OQMD) gives the theoretical powder XRD pattern in this record (Cu Kα).
No peak broadening, texture or thermal motion is included.

Cell and atoms:
Unit cell a=3.687 b=4.048 c=14.015 alpha=90.00 beta=90.00 gamma=90.00
Element x y z (fractional)
Tb 0.000 0.000 0.000
Tb 0.000 0.500 0.500
Sm 0.000 0.000 0.728
Sm 0.000 0.500 0.228
Ni 0.500 0.000 0.165
Ni 0.500 0.000 0.561
Ni 0.500 0.500 0.061
Ni 0.500 0.500 0.665
Sn 0.500 0.000 0.365
Sn 0.500 0.500 0.865

Top 10 peaks for 2θ from 10° to 90°, low angle first:
29.19 deg, I = 39.1; 33.49 deg, I = 100.0; 35.34 deg, I = 66.0; 38.23 deg, I = 31.2; 39.09 deg, I = 35.7; 44.78 deg, I = 26.2; 49.44 deg, I = 19.5; 57.08 deg, I = 17.1; 58.29 deg, I = 35.9; 64.76 deg, I = 15.9


Entry 5:
For ZnPbSeO, a DFT-relaxed cell (PBE, OQMD) gives the theoretical powder XRD pattern in this record (Cu Kα).
No peak broadening, texture or thermal motion is included.

Cell and atoms:
Unit cell a=6.582 b=3.516 c=14.632 alpha=90.00 beta=90.00 gamma=90.00
Element x y z (fractional)
Zn 0.197 0.250 0.079
Zn 0.303 0.750 0.579
Zn 0.697 0.250 0.421
Zn 0.803 0.750 0.921
Pb 0.109 0.750 0.303
Pb 0.391 0.250 0.803
Pb 0.609 0.750 0.197
Pb 0.891 0.250 0.697
Se 0.185 0.750 0.924
Se 0.315 0.250 0.424
Se 0.685 0.750 0.576
Se 0.815 0.250 0.076
O 0.206 0.250 0.630
O 0.294 0.750 0.130
O 0.706 0.250 0.870
O 0.794 0.750 0.370

Top 10 peaks for 2θ from 10° to 90°, low angle first:
12.10 deg, I = 22.2; 22.69 deg, I = 42.9; 26.07 deg, I = 26.7; 27.78 deg, I = 39.7; 31.35 deg, I = 100.0; 33.51 deg, I = 30.6; 37.43 deg, I = 24.9; 38.01 deg, I = 19.8; 39.45 deg, I = 32.5; 52.05 deg, I = 23.8


Entry 6:
For Nb2Pb3O8, a DFT-relaxed cell (PBE, OQMD) gives the theoretical powder XRD pattern in this record (Cu Kα).
No peak broadening, texture or thermal motion is included.

Cell and atoms:
Unit cell a=5.773 b=5.773 c=7.603 alpha=114.18 beta=114.18 gamma=64.68
Element x y z (fractional)
Nb 0.096 0.096 0.302
Nb 0.904 0.904 0.698
Pb 0.327 0.254 0.904
Pb 0.498 0.502 0.500
Pb 0.746 0.673 0.096
O 0.131 0.248 0.144
O 0.206 0.726 0.194
O 0.274 0.794 0.806
O 0.359 0.145 0.553
O 0.735 0.137 0.275
O 0.752 0.869 0.856
O 0.855 0.641 0.447
O 0.863 0.265 0.725

Top 10 peaks for 2θ from 10° to 90°, low angle first:
27.67 deg, I = 100.0; 28.91 deg, I = 43.6; 29.87 deg, I = 40.8; 31.14 deg, I = 74.3; 42.05 deg, I = 38.6; 42.22 deg, I = 17.7; 49.48 deg, I = 22.6; 50.48 deg, I = 18.4; 51.98 deg, I = 19.3; 52.65 deg, I = 17.1


Entry 7:
For MgCoPbAu, a DFT-relaxed cell (PBE, OQMD) gives the theoretical powder XRD pattern in this record (Cu Kα).
No peak broadening, texture or thermal motion is included.

Cell and atoms:
Unit cell a=6.598 b=6.598 c=6.598 alpha=90.00 beta=90.00 gamma=90.00
Element x y z (fractional)
Mg 0.000 0.000 0.000
Mg 0.000 0.500 0.500
Mg 0.500 0.000 0.500
Mg 0.500 0.500 0.000
Co 0.000 0.000 0.500
Co 0.000 0.500 0.000
Co 0.500 0.000 0.000
Co 0.500 0.500 0.500
Pb 0.250 0.250 0.250
Pb 0.250 0.750 0.750
Pb 0.750 0.250 0.750
Pb 0.750 0.750 0.250
Au 0.250 0.250 0.750
Au 0.250 0.750 0.250
Au 0.750 0.250 0.250
Au 0.750 0.750 0.750

Top 10 peaks for 2θ from 10° to 90°, low angle first:
23.35 deg, I = 1.4; 27.03 deg, I = 51.0; 38.60 deg, I = 100.0; 45.60 deg, I = 0.7; 47.75 deg, I = 15.4; 55.73 deg, I = 17.2; 63.00 deg, I = 20.9; 69.84 deg, I = 35.3; 82.74 deg, I = 11.4; 89.02 deg, I = 11.5


Entry 8:
For CsGd2Cu3Te5, a DFT-relaxed cell (PBE, OQMD) gives the theoretical powder XRD pattern in this record (Cu Kα).
No peak broadening, texture or thermal motion is included.

Cell and atoms:
Unit cell a=8.085 b=8.085 c=18.549 alpha=90.00 beta=90.00 gamma=148.44
Element x y z (fractional)
Cs 0.057 0.943 0.750
Cs 0.943 0.057 0.250
Gd 0.192 0.808 0.090
Gd 0.192 0.808 0.410
Gd 0.808 0.192 0.590
Gd 0.808 0.192 0.910
Cu 0.342 0.658 0.750
Cu 0.415 0.585 0.024
Cu 0.415 0.585 0.476
Cu 0.585 0.415 0.524
Cu 0.585 0.415 0.976
Cu 0.658 0.342 0.250
Te 0.163 0.837 0.573
Te 0.163 0.837 0.927
Te 0.243 0.757 0.250
Te 0.443 0.557 0.615
Te 0.443 0.557 0.885
Te 0.557 0.443 0.115
Te 0.557 0.443 0.385
Te 0.757 0.243 0.750
Te 0.837 0.163 0.073
Te 0.837 0.163 0.427

Top 10 peaks for 2θ from 10° to 90°, low angle first:
26.58 deg, I = 75.8; 27.02 deg, I = 100.0; 28.29 deg, I = 57.4; 28.88 deg, I = 64.6; 32.96 deg, I = 55.0; 35.33 deg, I = 32.1; 37.61 deg, I = 27.5; 41.04 deg, I = 54.6; 43.52 deg, I = 52.7; 50.95 deg, I = 31.8


Entry 9:
For B3Pd16, a DFT-relaxed cell (PBE, OQMD) gives the theoretical powder XRD pattern in this record (Cu Kα).
No peak broadening, texture or thermal motion is included.

Cell and atoms:
Unit cell a=9.141 b=9.141 c=9.095 alpha=113.75 beta=113.75 gamma=53.09
Element x y z (fractional)
B 0.125 0.875 0.750
B 0.199 0.434 0.001
B 0.434 0.199 0.501
B 0.566 0.801 0.499
B 0.801 0.566 0.999
B 0.875 0.125 0.250
Pd 0.001 0.253 0.250
Pd 0.061 0.811 0.493
Pd 0.064 0.308 0.999
Pd 0.125 0.373 0.745
Pd 0.130 0.870 0.250
Pd 0.179 0.447 0.500
Pd 0.189 0.939 0.007
Pd 0.252 0.500 0.255
Pd 0.253 0.001 0.750
Pd 0.308 0.064 0.499
Pd 0.317 0.566 0.000
Pd 0.373 0.125 0.245
Pd 0.380 0.620 0.750
Pd 0.434 0.683 0.500
Pd 0.447 0.179 0.000
Pd 0.500 0.252 0.755
Pd 0.500 0.748 0.245
Pd 0.553 0.821 0.000
Pd 0.566 0.317 0.500
Pd 0.620 0.380 0.250
Pd 0.627 0.875 0.755
Pd 0.683 0.434 0.000
Pd 0.692 0.936 0.501
Pd 0.747 0.999 0.250
Pd 0.748 0.500 0.745
Pd 0.811 0.061 0.993
Pd 0.821 0.553 0.500
Pd 0.870 0.130 0.750
Pd 0.875 0.627 0.255
Pd 0.936 0.692 0.001
Pd 0.939 0.189 0.507
Pd 0.999 0.747 0.750

Top 10 peaks for 2θ from 10° to 90°, low angle first:
38.23 deg, I = 100.0; 44.33 deg, I = 34.3; 44.63 deg, I = 16.8; 64.49 deg, I = 10.9; 64.68 deg, I = 5.4; 64.74 deg, I = 16.1; 77.51 deg, I = 24.0; 77.94 deg, I = 11.8; 81.79 deg, I = 5.5; 81.84 deg, I = 5.5


Entry 10:
For TbTm2Sn3Pd3, a DFT-relaxed cell (PBE, OQMD) gives the theoretical powder XRD pattern in this record (Cu Kα).
No peak broadening, texture or thermal motion is included.

Cell and atoms:
Unit cell a=3.984 b=7.514 c=7.514 alpha=120.27 beta=90.00 gamma=90.00
Element x y z (fractional)
Tb 0.000 0.000 0.000
Tm 0.000 0.408 0.816
Tm 0.000 0.816 0.408
Sn 0.500 0.150 0.410
Sn 0.500 0.410 0.150
Sn 0.500 0.667 0.667
Pd 0.000 0.411 0.411
Pd 0.500 0.076 0.739
Pd 0.500 0.739 0.076

Top 10 peaks for 2θ from 10° to 90°, low angle first:
32.79 deg, I = 100.0; 35.66 deg, I = 85.1; 36.54 deg, I = 30.6; 36.68 deg, I = 14.4; 41.76 deg, I = 22.6; 43.23 deg, I = 13.3; 45.54 deg, I = 25.0; 59.74 deg, I = 15.1; 63.48 deg, I = 13.1; 66.94 deg, I = 20.4


Entry 11:
For KZrP2O7, a DFT-relaxed cell (PBE, OQMD) gives the theoretical powder XRD pattern in this record (Cu Kα).
No peak broadening, texture or thermal motion is included.

Cell and atoms:
Unit cell a=5.657 b=5.657 c=4.963 alpha=90.67 beta=90.67 gamma=99.94
Element x y z (fractional)
K 0.000 0.000 0.000
Zr 0.360 0.640 0.500
P 0.512 0.121 0.602
P 0.879 0.488 0.398
O 0.080 0.467 0.201
O 0.362 0.010 0.357
O 0.420 0.335 0.725
O 0.533 0.920 0.799
O 0.665 0.580 0.275
O 0.785 0.215 0.500
O 0.990 0.638 0.643

Top 10 peaks for 2θ from 10° to 90°, low angle first:
15.91 deg, I = 45.3; 17.88 deg, I = 100.0; 23.85 deg, I = 81.9; 24.18 deg, I = 66.4; 27.33 deg, I = 52.8; 32.13 deg, I = 49.7; 33.38 deg, I = 29.5; 36.78 deg, I = 62.6; 44.58 deg, I = 27.2; 50.22 deg, I = 26.7


Entry 12:
For Tb3Te4, a DFT-relaxed cell (PBE, OQMD) gives the theoretical powder XRD pattern in this record (Cu Kα).
No peak broadening, texture or thermal motion is included.

Cell and atoms:
Unit cell a=7.320 b=15.050 c=4.369 alpha=90.00 beta=90.00 gamma=90.00
Element x y z (fractional)
Tb 0.000 0.000 0.000
Tb 0.013 0.250 0.500
Tb 0.487 0.750 0.500
Tb 0.500 0.500 0.000
Tb 0.513 0.250 0.500
Tb 0.987 0.750 0.500
Te 0.238 0.664 0.000
Te 0.238 0.915 0.500
Te 0.262 0.164 0.000
Te 0.262 0.415 0.500
Te 0.738 0.585 0.500
Te 0.738 0.836 0.000
Te 0.762 0.085 0.500
Te 0.762 0.336 0.000

Top 10 peaks for 2θ from 10° to 90°, low angle first:
13.45 deg, I = 16.5; 23.57 deg, I = 12.7; 26.58 deg, I = 69.5; 34.13 deg, I = 100.0; 41.33 deg, I = 18.1; 41.51 deg, I = 35.6; 44.20 deg, I = 16.6; 49.84 deg, I = 17.3; 54.68 deg, I = 18.6; 66.82 deg, I = 19.6


What did the third record say?
For Ho2LuFeCo8, a DFT-relaxed cell (PBE, OQMD) gives the theoretical powder XRD pattern in this record (Cu Kα).
No peak broadening, texture or thermal motion is included.

Cell and atoms:
Unit cell a=8.486 b=8.486 c=8.486 alpha=34.09 beta=34.09 gamma=34.09
Element x y z (fractional)
Ho 0.139 0.139 0.139
Ho 0.861 0.861 0.861
Lu 0.000 0.000 0.000
Fe 0.500 0.500 0.500
Co 0.079 0.583 0.583
Co 0.334 0.334 0.334
Co 0.417 0.417 0.921
Co 0.417 0.921 0.417
Co 0.583 0.079 0.583
Co 0.583 0.583 0.079
Co 0.666 0.666 0.666
Co 0.921 0.417 0.417

Top 10 peaks for 2θ from 10° to 90°, low angle first:
20.95 deg, I = 16.8; 33.44 deg, I = 55.1; 36.11 deg, I = 60.6; 36.55 deg, I = 46.3; 42.12 deg, I = 43.3; 42.84 deg, I = 100.0; 63.25 deg, I = 18.2; 65.23 deg, I = 16.2; 69.58 deg, I = 22.5; 76.62 deg, I = 22.3